Theoretical powder diffractogram of LaCo8P5 for CuKα, from a structure optimized by DFT (PBE).
Lines closer than 0.1° are merged.

The 10 most intense peaks (15° ≤ 2θ ≤ 90°), by intensity:
Position (°2θ)	Rel. int.	index
41.09	1000	1 3 2
36.07	913	1 3 0
39.49	778	1 1 3
51.17	615	2 0 0
37.34	502	1 3 1
52.52	360	0 6 0
39.79	339	0 1 4
45.43	313	0 4 3
59.25	250	1 4 4
31.85	243	1 2 1

Cell and atoms:
```
data_LaCo8P5
_chemical_formula_sum 'La2 Co16 P10'
_cell_length_a 3.570
_cell_length_b 10.454
_cell_length_c 9.282
_cell_angle_alpha 90.00
_cell_angle_beta 90.00
_cell_angle_gamma 90.00
_space_group_name_H-M_alt 'P m m n'
_space_group_IT_number 59
loop_
_space_group_symop_operation_xyz
'x,y,z'
'-x,-y,-z'
'-x+1/2,-y+1/2,z'
'x+1/2,y+1/2,-z'
'x+1/2,-y,-z'
'-x+1/2,y,z'
'-x,y+1/2,-z'
'x,-y+1/2,z'
loop_
_atom_site_label
_atom_site_type_symbol
_atom_site_fract_x
_atom_site_fract_y
_atom_site_fract_z
La1 La 0.250 0.250 0.177
Co1 Co 0.250 0.004 0.889
Co2 Co 0.250 0.083 0.479
Co3 Co 0.250 0.250 0.849
Co4 Co 0.250 0.609 0.304
Co5 Co 0.250 0.750 0.546
P1 P 0.250 0.250 0.615
P2 P 0.250 0.557 0.660
P3 P 0.250 0.629 0.068
```

=====

Theoretical powder diffractogram of LaPrCo4P4 for CuKα, from a structure optimized by DFT (PBE).
Lines closer than 0.1° are merged.

The 10 most intense peaks (15° ≤ 2θ ≤ 90°), by intensity:
Position (°2θ)	Rel. int.	index
37.21	1000	1 1 2
34.15	782	1 0 3
24.73	467	1 0 1
47.65	409	2 0 0
61.75	321	1 1 6
59.92	297	2 1 3
33.02	247	0 0 4
81.74	187	3 1 2
59.20	178	2 0 4
48.24	171	1 0 5

Cell and atoms:
```
data_LaPrCo4P4
_chemical_formula_sum 'La1 Pr1 Co4 P4'
_cell_length_a 3.817
_cell_length_b 3.817
_cell_length_c 10.851
_cell_angle_alpha 90.00
_cell_angle_beta 90.00
_cell_angle_gamma 90.00
_space_group_name_H-M_alt 'P 4/m m m'
_space_group_IT_number 123
_space_group_name_Hall '-P 4 2'
loop_
_atom_site_label
_atom_site_type_symbol
_atom_site_fract_x
_atom_site_fract_y
_atom_site_fract_z
La1 La 0.000 0.000 0.000
Pr1 Pr 0.500 0.500 0.500
Co1 Co 0.000 0.500 0.253
P1 P 0.000 0.000 0.358
P2 P 0.500 0.500 0.148
```

=====

Theoretical powder diffractogram of La3PrCo8P8 for CuKα, from a structure optimized by DFT (PBE).
Lines closer than 0.1° are merged.

The 10 most intense peaks (15° ≤ 2θ ≤ 90°), by intensity:
Position (°2θ)	Rel. int.	index
37.45	1000	1 1 4
33.76	891	1 0 6
60.39	656	1 1 12
25.00	463	1 0 2
48.50	405	2 0 0
31.78	282	0 0 8
83.16	204	3 1 4
47.04	192	1 0 10
59.15	184	2 0 8
71.02	132	2 2 0

Cell and atoms:
```
data_La3PrCo8P8
_chemical_formula_sum 'La3 Pr1 Co8 P8'
_cell_length_a 3.754
_cell_length_b 3.754
_cell_length_c 22.529
_cell_angle_alpha 90.00
_cell_angle_beta 90.00
_cell_angle_gamma 90.00
_space_group_name_H-M_alt 'P 4/m m m'
_space_group_IT_number 123
_space_group_name_Hall '-P 4 2'
loop_
_atom_site_label
_atom_site_type_symbol
_atom_site_fract_x
_atom_site_fract_y
_atom_site_fract_z
La1 La 0.000 0.000 0.000
La2 La 0.500 0.500 0.250
Pr1 Pr 0.000 0.000 0.500
Co1 Co 0.000 0.500 0.125
Co2 Co 0.000 0.500 0.376
P1 P 0.000 0.000 0.177
P2 P 0.000 0.000 0.325
P3 P 0.500 0.500 0.073
P4 P 0.500 0.500 0.429
```

=====

Theoretical powder diffractogram of La4PrCo10P10 for CuKα, from a structure optimized by DFT (PBE).
Lines closer than 0.1° are merged.

The 10 most intense peaks (15° ≤ 2θ ≤ 90°), by intensity:
Position (°2θ)	Rel. int.	index
37.18	1000	1 1 10
33.86	807	1 0 15
24.76	464	1 0 5
47.84	407	2 0 0
60.93	342	1 1 30
59.89	300	2 1 15
32.37	263	0 0 20
82.00	185	3 1 10
58.95	183	2 0 20
47.55	172	1 0 25

Cell and atoms:
```
data_La4PrCo10P10
_chemical_formula_sum 'La8 Pr2 Co20 P20'
_cell_length_a 3.803
_cell_length_b 3.803
_cell_length_c 55.313
_cell_angle_alpha 90.00
_cell_angle_beta 90.00
_cell_angle_gamma 90.00
_space_group_name_H-M_alt 'I 4/m m m'
_space_group_IT_number 139
_space_group_name_Hall '-I 4 2'
loop_
_atom_site_label
_atom_site_type_symbol
_atom_site_fract_x
_atom_site_fract_y
_atom_site_fract_z
La1 La 0.000 0.000 0.100
La2 La 0.000 0.000 0.300
Pr1 Pr 0.000 0.000 0.500
Co1 Co 0.000 0.500 0.049
Co2 Co 0.000 0.500 0.150
Co3 Co 0.000 0.500 0.250
P1 P 0.000 0.000 0.028
P2 P 0.000 0.000 0.171
P3 P 0.000 0.000 0.229
P4 P 0.000 0.000 0.371
P5 P 0.000 0.000 0.430
```

=====

Theoretical powder diffractogram of La12Co6Pb for CuKα, from a structure optimized by DFT (PBE).
Lines closer than 0.1° are merged.

The 10 most intense peaks (15° ≤ 2θ ≤ 90°), by intensity:
Position (°2θ)	Rel. int.	index
32.80	1000	3 1 2
27.61	459	3 0 1
30.31	390	2 2 2
55.45	358	5 2 3
52.21	304	5 3 0
45.26	286	4 3 1
64.50	181	5 3 4
79.64	177	8 2 2
80.96	162	7 0 5
53.85	148	6 0 0

Cell and atoms:
```
data_La12Co6Pb
_chemical_formula_sum 'La24 Co12 Pb2'
_cell_length_a 10.215
_cell_length_b 10.215
_cell_length_c 10.215
_cell_angle_alpha 90.00
_cell_angle_beta 90.00
_cell_angle_gamma 90.00
_space_group_name_H-M_alt 'I m -3'
_space_group_IT_number 204
_space_group_name_Hall '-I 2 2 3'
loop_
_atom_site_label
_atom_site_type_symbol
_atom_site_fract_x
_atom_site_fract_y
_atom_site_fract_z
La1 La 0.000 0.312 0.190
Co1 Co 0.000 0.121 0.500
Pb1 Pb 0.000 0.000 0.000
```

=====

Theoretical powder diffractogram of La4CoS7 for CuKα, from a structure optimized by DFT (PBE).
Lines closer than 0.1° are merged.

The 10 most intense peaks (15° ≤ 2θ ≤ 90°), by intensity:
Position (°2θ)	Rel. int.	index
24.24	1000	2 1 0
32.92	466	2 2 -2
44.04	432	2 3 0
36.06	268	2 0 2
33.71	173	3 1 0
25.38	152	0 2 0
44.65	136	4 2 -2
30.25	134	1 1 2
36.17	133	4 0 -2
20.61	112	2 0 -2

Cell and atoms:
```
data_La4CoS7
_chemical_formula_sum 'La8 Co2 S14'
_cell_length_a 9.934
_cell_length_b 7.017
_cell_length_c 9.960
_cell_angle_alpha 90.00
_cell_angle_beta 119.88
_cell_angle_gamma 90.00
_space_group_name_H-M_alt 'P 1 21 1'
_space_group_IT_number 4
loop_
_space_group_symop_operation_xyz
'x,y,z'
'-x,y+1/2,-z'
loop_
_atom_site_label
_atom_site_type_symbol
_atom_site_fract_x
_atom_site_fract_y
_atom_site_fract_z
La1 La 0.127 0.000 0.281
La2 La 0.164 0.963 0.833
La3 La 0.281 0.501 0.653
La4 La 0.345 0.502 0.125
Co1 Co 0.499 0.778 0.504
S1 S 0.012 0.743 0.572
S2 S 0.058 0.742 0.987
S3 S 0.167 0.348 0.832
S4 S 0.268 0.612 0.368
S5 S 0.372 0.110 0.598
S6 S 0.399 0.114 0.266
S7 S 0.427 0.745 0.940
```

=====

Theoretical powder diffractogram of LaCoSb2 for CuKα, from a structure optimized by DFT (PBE).
Lines closer than 0.1° are merged.

The 10 most intense peaks (15° ≤ 2θ ≤ 90°), by intensity:
Position (°2θ)	Rel. int.	index
33.91	1000	1 1 2
41.04	546	2 0 0
33.66	461	1 0 3
30.08	287	1 1 1
54.08	236	2 1 3
70.22	230	3 1 2
26.96	214	1 0 2
59.44	179	2 2 0
49.95	162	1 0 5
63.11	142	1 1 6

Cell and atoms:
```
data_LaCoSb2
_chemical_formula_sum 'La2 Co2 Sb4'
_cell_length_a 4.399
_cell_length_b 4.399
_cell_length_c 10.035
_cell_angle_alpha 90.00
_cell_angle_beta 90.00
_cell_angle_gamma 90.00
_space_group_name_H-M_alt 'P 4/n m m'
_space_group_IT_number 129
loop_
_space_group_symop_operation_xyz
'x,y,z'
'-x,-y,-z'
'-y+1/2,x,z'
'y+1/2,-x,-z'
'-x+1/2,-y+1/2,z'
'x+1/2,y+1/2,-z'
'y,-x+1/2,z'
'-y,x+1/2,-z'
'x+1/2,-y,-z'
'-x+1/2,y,z'
'-y,-x,-z'
'y,x,z'
'-x,y+1/2,-z'
'x,-y+1/2,z'
'y+1/2,x+1/2,-z'
'-y+1/2,-x+1/2,z'
loop_
_atom_site_label
_atom_site_type_symbol
_atom_site_fract_x
_atom_site_fract_y
_atom_site_fract_z
La1 La 0.250 0.250 0.244
Co1 Co 0.250 0.750 0.000
Sb1 Sb 0.250 0.250 0.873
Sb2 Sb 0.250 0.750 0.500
```

=====

Theoretical powder diffractogram of La6Co13Sb for CuKα, from a structure optimized by DFT (PBE).
Lines closer than 0.1° are merged.

The 10 most intense peaks (15° ≤ 2θ ≤ 90°), by intensity:
Position (°2θ)	Rel. int.	index
35.21	1000	3 1 0
31.46	942	2 2 0
27.32	831	2 1 3
43.29	598	2 1 9
32.16	447	2 0 6
38.36	441	2 0 8
46.63	428	4 1 1
27.98	303	1 1 6
34.85	290	1 1 8
42.54	261	3 1 6

Cell and atoms:
```
data_La6Co13Sb
_chemical_formula_sum 'La24 Co52 Sb4'
_cell_length_a 8.060
_cell_length_b 8.060
_cell_length_c 23.087
_cell_angle_alpha 90.00
_cell_angle_beta 90.00
_cell_angle_gamma 90.00
_space_group_name_H-M_alt 'I 4/m c m'
_space_group_IT_number 140
_space_group_name_Hall '-I 4 2c'
loop_
_atom_site_label
_atom_site_type_symbol
_atom_site_fract_x
_atom_site_fract_y
_atom_site_fract_z
La1 La 0.000 0.000 0.100
La2 La 0.161 0.339 0.181
Co1 Co 0.000 0.500 0.000
Co2 Co 0.066 0.213 0.500
Co3 Co 0.114 0.386 0.412
Co4 Co 0.177 0.323 0.056
Sb1 Sb 0.000 0.000 0.250
```